Computed X-ray diffraction stick pattern of AgSO4 for Cu Kα, 1.54184 Å, from a crystal structure in the Materials Project, relaxed with PBE.
Intensities are scaled so that the largest is 100.

Crystal structure
```
AgSO4
1.0
6.6247 -7.1170 0.0000
6.6247 7.1170 0.0000
-6.5170 0.0000 7.2097
Ag S O
8 8 32
Cartesian
0.0000 0.0000 0.0000 Ag
-3.2585 0.0000 3.6048 Ag
3.3123 3.5585 0.0000 Ag
0.0538 3.5585 3.6048 Ag
3.3123 -3.5585 0.0000 Ag
0.0538 -3.5585 3.6048 Ag
6.6247 0.0000 0.0000 Ag
3.3662 0.0000 3.6048 Ag
0.1030 3.7603 6.7949 S
3.3357 0.3571 0.2802 S
3.3709 3.7603 4.0196 S
0.0772 -0.3571 3.8850 S
6.6551 0.3571 3.3247 S
3.3615 -3.7603 3.1901 S
3.3966 -0.3571 6.9295 S
6.6294 -3.7603 0.4148 S
-0.0237 5.1274 6.2154 O
-3.2154 1.4787 6.4916 O
2.2051 3.6107 3.1003 O
-1.1102 0.5275 3.7012 O
5.4481 3.3965 0.4336 O
2.1483 -0.5275 0.0964 O
0.2466 2.8077 5.6454 O
3.4975 5.1274 4.5992 O
3.3926 0.9792 1.6311 O
1.2454 0.5378 3.6234 O
0.0431 -1.4787 2.8868 O
4.5427 3.3965 3.1712 O
7.7857 3.6107 0.5046 O
4.5039 -0.5378 0.0186 O
3.2273 2.8077 5.1691 O
0.1341 -0.9792 5.2359 O
6.5982 0.9792 1.9738 O
3.5051 -2.8077 2.0406 O
2.2285 0.5378 7.1911 O
-1.0534 -3.6107 6.7051 O
2.1896 -3.3965 4.0385 O
6.6892 1.4787 4.3229 O
5.4870 -0.5378 3.5863 O
3.3397 -0.9792 5.5786 O
3.2348 -5.1274 2.6105 O
6.4858 -2.8077 1.5643 O
4.5840 0.5275 7.1133 O
1.2842 -3.3965 6.7761 O
7.8425 -0.5275 3.5085 O
4.5272 -3.6107 4.1094 O
9.9477 -1.4787 0.7181 O
6.7560 -5.1274 0.9943 O
```

Top 10 peaks for 2θ = 15–90°, in order of rising 2θ:
- 2θ = 21.98°, 4.044 Å, rel. 39
- 2θ = 22.21°, 4.003 Å, rel. 40
- 2θ = 24.70°, 3.605 Å, rel. 100
- 2θ = 25.02°, 3.558 Å, rel. 97
- 2θ = 26.92°, 3.312 Å, rel. 85
- 2θ = 35.45°, 2.532 Å, rel. 77
- 2θ = 37.08°, 2.424 Å, rel. 36
- 2θ = 44.82°, 2.022 Å, rel. 25
- 2θ = 45.31°, 2.002 Å, rel. 23
- 2θ = 57.77°, 1.596 Å, rel. 25